# NpU2Si
Theoretical powder diffractogram, Cu Kα (weighted mean of Kα1 and Kα2). Input: a DFT-relaxed cell (PBE, Alexandria).

Most intense lines, 2θ from 10° to 80°, low angle first:
17.10 deg, d = 5.184 Å, I = 20; 22.13 deg, d = 4.017 Å, I = 26; 26.67 deg, d = 3.343 Å, I = 17; 36.48 deg, d = 2.463 Å, I = 54; 36.88 deg, d = 2.438 Å, I = 49; 37.02 deg, d = 2.429 Å, I = 100; 41.43 deg, d = 2.179 Å, I = 71; 45.45 deg, d = 1.996 Å, I = 28; 60.53 deg, d = 1.530 Å, I = 16; 62.91 deg, d = 1.477 Å, I = 18

Cell and atoms:
```
16
Lattice="5.0824 0.0000 0.0000 0.0000 6.1207 0.0000 -2.6059 0.0000 9.7502" Properties=species:S:1:pos:R:3 pbc="T T T"
Np 0.4566 0.7556 1.1745
Np -0.8464 5.3650 6.0496
Np 3.3228 0.7556 3.7006
Np 2.0199 5.3650 8.5757
U -1.0236 2.0815 5.7899
U 0.2793 4.0392 0.9148
U 1.1287 2.1380 3.6821
U -0.1742 3.9827 8.5571
U 2.6507 2.1380 1.1930
U 1.3477 3.9827 6.0681
U 2.1971 2.0815 8.8353
U 3.5001 4.0392 3.9602
Si -0.4191 0.7876 8.4225
Si 0.8838 5.3331 3.5474
Si 1.5926 0.7876 6.2028
Si 2.8956 5.3331 1.3277
```

=====

# Ho2TmTh
Theoretical powder diffractogram, Cu Kα (weighted mean of Kα1 and Kα2). Input: a DFT-relaxed cell (PBE, Alexandria).

Most intense lines, 2θ from 10° to 80°, low angle first:
30.88 deg, d = 2.895 Å, I = 100; 31.93 deg, d = 2.803 Å, I = 58; 32.20 deg, d = 2.780 Å, I = 59; 32.61 deg, d = 2.746 Å, I = 55; 32.75 deg, d = 2.734 Å, I = 45; 33.83 deg, d = 2.650 Å, I = 16; 43.29 deg, d = 2.090 Å, I = 17; 47.04 deg, d = 1.932 Å, I = 16; 51.78 deg, d = 1.766 Å, I = 17; 62.22 deg, d = 1.492 Å, I = 20

Cell and atoms:
```
8
Lattice="3.5312 0.0000 0.0000 -1.7546 6.4825 0.0000 -0.0034 -0.1031 10.9840" Properties=species:S:1:pos:R:3 pbc="T T T"
Ho 0.0011 0.2276 2.6699
Ho 0.0051 3.1180 8.2133
Ho 1.7681 3.2614 2.7707
Ho 1.7721 6.1517 8.3141
Tm 0.0069 4.7855 0.1693
Tm 1.7663 1.5938 10.8147
Th 0.0031 4.7742 5.3073
Th 1.7701 1.6051 5.6767
```

=====

# Hf5Sb4H3
Theoretical powder diffractogram, Cu Kα (weighted mean of Kα1 and Kα2). Input: a DFT-relaxed cell (PBE, Alexandria).

Most intense lines, 2θ from 10° to 80°, low angle first:
10.82 deg, d = 8.179 Å, I = 68; 27.45 deg, d = 3.249 Å, I = 28; 27.63 deg, d = 3.229 Å, I = 100; 33.13 deg, d = 2.704 Å, I = 32; 35.25 deg, d = 2.546 Å, I = 66; 35.64 deg, d = 2.519 Å, I = 28; 39.25 deg, d = 2.295 Å, I = 29; 39.78 deg, d = 2.266 Å, I = 66; 45.87 deg, d = 1.978 Å, I = 37; 47.78 deg, d = 1.903 Å, I = 31

Cell and atoms:
```
12
Lattice="8.2205 -1.6736 0.0000 8.2205 1.6736 0.0000 -7.1790 0.0000 10.3696" Properties=species:S:1:pos:R:3 pbc="T T T"
Hf 0.0000 0.0000 0.0000
Hf 2.9189 0.0000 1.4421
Hf 5.2408 0.0000 3.7913
Hf 4.0211 0.0000 6.5783
Hf 6.3430 0.0000 8.9275
Sb 2.3371 0.0000 4.2871
Sb 5.8783 0.0000 0.9925
Sb 3.3836 0.0000 9.3771
Sb 6.9248 0.0000 6.0826
H 0.9867 0.0000 1.7149
H 8.2205 0.0000 0.0000
H 8.2752 0.0000 8.6547
```

=====

# Li2SmOsN4
Theoretical powder diffractogram, Cu Kα (weighted mean of Kα1 and Kα2). Input: a DFT-relaxed cell (PBE, Alexandria).

Most intense lines, 2θ from 10° to 80°, low angle first:
22.95 deg, d = 3.874 Å, I = 100; 27.30 deg, d = 3.267 Å, I = 27; 32.69 deg, d = 2.740 Å, I = 34; 35.96 deg, d = 2.498 Å, I = 69; 43.09 deg, d = 2.099 Å, I = 41; 46.90 deg, d = 1.937 Å, I = 19; 52.84 deg, d = 1.733 Å, I = 19; 55.12 deg, d = 1.666 Å, I = 17; 60.48 deg, d = 1.531 Å, I = 32; 66.66 deg, d = 1.403 Å, I = 13

Cell and atoms:
```
8
Lattice="-2.7397 2.7397 3.2668 2.7397 -2.7397 3.2668 2.7397 2.7397 -3.2668" Properties=species:S:1:pos:R:3 pbc="T T T"
Li 2.7397 0.0000 1.6334
Li 0.0000 2.7397 1.6334
Sm 0.0000 0.0000 0.0000
Os 0.0000 0.0000 3.2668
N 1.6675 1.6675 -1.0299
N 1.0722 -1.0722 4.2967
N 1.0722 1.0722 2.2369
N -1.0722 1.0722 4.2967
```